For Sr3Fe2ClO5, a GGA+U-relaxed structure gives the computed powder X-ray diffraction pattern in this record (Cu Ka).

Main lines, by angle (10 to 90 degrees two-theta):
(hkl)	two_theta	Rel. int.
1 1 0	31.44	46
1 0 3	32.37	100
1 1 3	39.54	11
2 0 0	45.07	30
0 0 6	47.76	9
2 1 3	56.57	38
1 1 6	58.30	17
2 2 0	65.63	9
2 0 6	67.75	12
3 0 3	75.10	8

Structure:
```
data_Sr3Fe2ClO5
_chemical_formula_sum 'Sr3 Fe2 Cl1 O5'
_cell_length_a 4.0234
_cell_length_b 4.0234
_cell_length_c 11.4271
_cell_angle_alpha 90.00
_cell_angle_beta 90.00
_cell_angle_gamma 90.00
_space_group_name_H-M_alt 'P 4/m m m'
_space_group_IT_number 123
_space_group_name_Hall '-P 4 2'
loop_
_atom_site_label
_atom_site_fract_x
_atom_site_fract_y
_atom_site_fract_z
_atom_site_occupancy
Sr1 0.0000 0.0000 0.0000 1
Sr2 0.0000 0.0000 0.3204 1
Fe1 0.5000 0.5000 0.1693 1
Cl1 0.5000 0.5000 0.5000 1
O1 0.0000 0.5000 0.2023 1
O2 0.5000 0.5000 0.0000 1
```